Entry 1:
Diffraction record for Dy3Zr. The X-ray diffraction stick pattern is computed, not measured: it uses a crystal structure in the Materials Project, relaxed with PBE and Cu Kα (weighted mean of Kα1 and Kα2).
No peak broadening, texture or thermal motion is included.

```
data_Dy3Zr
_chemical_formula_sum 'Dy6 Zr2'
_symmetry_space_group_name_H-M 'I 4/m m m'
_symmetry_Int_Tables_number 139
_symmetry_space_group_name_Hall '-I 4 2'
_cell_length_a 4.878
_cell_length_b 4.878
_cell_length_c 9.722
_cell_angle_alpha 90.00
_cell_angle_beta 90.00
_cell_angle_gamma 90.00
loop_
_atom_site_label
_atom_site_type_symbol
_atom_site_fract_x
_atom_site_fract_y
_atom_site_fract_z
Dy1 Dy 0.000 0.000 0.000
Dy2 Dy 0.000 0.500 0.250
Zr1 Zr 0.000 0.000 0.500
```

Principal peaks in the range 2θ = 10–80°, low angle first:
20.37 deg, I 39, hkl 1 0 1
31.81 deg, I 1000, hkl 1 1 2
36.85 deg, I 337, hkl 2 0 0
36.98 deg, I 167, hkl 0 0 4
53.17 deg, I 352, hkl 2 2 0
63.25 deg, I 278, hkl 3 1 2
63.42 deg, I 138, hkl 1 1 6
66.48 deg, I 119, hkl 2 2 4
78.42 deg, I 37, hkl 4 0 0
78.74 deg, I 19, hkl 0 0 8

=====

Entry 2:
Diffraction record for Dy3Zr. The X-ray diffraction stick pattern is computed, not measured: it uses a crystal structure in the Materials Project, relaxed with PBE and Cu Kα (weighted mean of Kα1 and Kα2).
No peak broadening, texture or thermal motion is included.

```
data_Dy3Zr
_chemical_formula_sum 'Dy3 Zr1'
_symmetry_space_group_name_H-M 'P m -3 m'
_symmetry_Int_Tables_number 221
_symmetry_space_group_name_Hall '-P 4 2 3'
_cell_length_a 4.869
_cell_length_b 4.869
_cell_length_c 4.869
_cell_angle_alpha 90.00
_cell_angle_beta 90.00
_cell_angle_gamma 90.00
loop_
_atom_site_label
_atom_site_type_symbol
_atom_site_fract_x
_atom_site_fract_y
_atom_site_fract_z
Dy1 Dy 0.000 0.000 0.500
Zr1 Zr 0.500 0.500 0.500
```

Principal peaks in the range 2θ = 10–80°, low angle first:
18.22 deg, I 37, hkl 1 0 0
25.88 deg, I 33, hkl 1 1 0
31.83 deg, I 1000, hkl 1 1 1
36.92 deg, I 503, hkl 2 0 0
41.47 deg, I 20, hkl 2 1 0
45.64 deg, I 16, hkl 2 1 1
53.21 deg, I 352, hkl 2 2 0
63.35 deg, I 415, hkl 3 1 1
66.52 deg, I 119, hkl 2 2 2
78.59 deg, I 56, hkl 4 0 0

=====

Entry 3:
Diffraction record for Er. The X-ray diffraction stick pattern is computed, not measured: it uses a crystal structure in the Materials Project, relaxed with PBE and Cu Kα (weighted mean of Kα1 and Kα2).
No peak broadening, texture or thermal motion is included.

```
data_Er
_chemical_formula_sum 'Er4'
_symmetry_space_group_name_H-M 'P 63/m m c'
_symmetry_Int_Tables_number 194
_symmetry_space_group_name_Hall '-P 6c 2c'
_cell_length_a 3.5155
_cell_length_b 3.5155
_cell_length_c 11.3798
_cell_angle_alpha 90.00
_cell_angle_beta 90.00
_cell_angle_gamma 120.00
loop_
_atom_site_label
_atom_site_type_symbol
_atom_site_fract_x
_atom_site_fract_y
_atom_site_fract_z
Er1 Er 0.0000 0.0000 0.0000
Er2 Er 0.3333 0.6667 0.2500
```

Principal peaks in the range 2θ = 10–80°, low angle first:
29.34 deg, I 78, hkl 1 0 0
30.39 deg, I 426, hkl 1 0 1
31.45 deg, I 347, hkl 0 0 4
33.38 deg, I 1000, hkl 1 0 2
37.89 deg, I 237, hkl 1 0 3
50.04 deg, I 108, hkl 1 0 5
52.03 deg, I 256, hkl 1 1 0
57.23 deg, I 216, hkl 1 0 6
62.07 deg, I 301, hkl 1 1 4
63.23 deg, I 160, hkl 2 0 2

=====

Entry 4:
Diffraction record for Er. The X-ray diffraction stick pattern is computed, not measured: it uses a crystal structure in the Materials Project, relaxed with PBE and Cu Kα (weighted mean of Kα1 and Kα2).
No peak broadening, texture or thermal motion is included.

```
data_Er
_chemical_formula_sum 'Er4'
_symmetry_space_group_name_H-M 'F m -3 m'
_symmetry_Int_Tables_number 225
_symmetry_space_group_name_Hall '-F 4 2 3'
_cell_length_a 4.959
_cell_length_b 4.959
_cell_length_c 4.959
_cell_angle_alpha 90.00
_cell_angle_beta 90.00
_cell_angle_gamma 90.00
loop_
_atom_site_label
_atom_site_type_symbol
_atom_site_fract_x
_atom_site_fract_y
_atom_site_fract_z
Er1 Er 0.000 0.000 0.000
```

Principal peaks in the range 2θ = 10–80°, low angle first:
31.24 deg, I 1000, hkl 1 1 1
36.23 deg, I 506, hkl 2 0 0
52.17 deg, I 359, hkl 2 2 0
62.07 deg, I 427, hkl 3 1 1
65.16 deg, I 123, hkl 2 2 2
76.90 deg, I 57, hkl 4 0 0

=====

Entry 5:
Diffraction record for Er. The X-ray diffraction stick pattern is computed, not measured: it uses a crystal structure in the Materials Project, relaxed with PBE and Cu Kα (weighted mean of Kα1 and Kα2).
No peak broadening, texture or thermal motion is included.

```
data_Er
_chemical_formula_sum 'Er9'
_symmetry_space_group_name_H-M 'R -3 m'
_symmetry_Int_Tables_number 166
_symmetry_space_group_name_Hall '-R 3 2"'
_cell_length_a 3.5352
_cell_length_b 3.5352
_cell_length_c 25.5545
_cell_angle_alpha 90.00
_cell_angle_beta 90.00
_cell_angle_gamma 120.00
loop_
_atom_site_label
_atom_site_type_symbol
_atom_site_fract_x
_atom_site_fract_y
_atom_site_fract_z
Er1 Er 0.0000 0.0000 0.0000
Er2 Er 0.0000 0.0000 0.2220
```

Principal peaks in the range 2θ = 10–80°, low angle first:
29.38 deg, I 369, hkl 1 0 1
31.51 deg, I 507, hkl 0 0 9
32.43 deg, I 1000, hkl 1 0 4
34.14 deg, I 882, hkl 0 1 5
51.72 deg, I 382, hkl 1 1 0
55.56 deg, I 217, hkl 1 0 13
58.91 deg, I 188, hkl 0 1 14
61.83 deg, I 448, hkl 1 1 9
62.38 deg, I 155, hkl 0 2 4
63.43 deg, I 149, hkl 2 0 5

=====

Entry 6:
Diffraction record for Er. The X-ray diffraction stick pattern is computed, not measured: it uses a crystal structure in the Materials Project, relaxed with PBE and Cu Kα (weighted mean of Kα1 and Kα2).
No peak broadening, texture or thermal motion is included.

```
data_Er
_chemical_formula_sum 'Er2'
_symmetry_space_group_name_H-M 'P 63/m m c'
_symmetry_Int_Tables_number 194
_symmetry_space_group_name_Hall '-P 6c 2c'
_cell_length_a 3.5873
_cell_length_b 3.5873
_cell_length_c 5.5457
_cell_angle_alpha 90.00
_cell_angle_beta 90.00
_cell_angle_gamma 120.00
loop_
_atom_site_label
_atom_site_type_symbol
_atom_site_fract_x
_atom_site_fract_y
_atom_site_fract_z
Er1 Er 0.3333 0.6667 0.2500
```

Principal peaks in the range 2θ = 10–80°, low angle first:
28.74 deg, I 240, hkl 1 0 0
32.28 deg, I 236, hkl 0 0 2
33.05 deg, I 1000, hkl 1 0 1
43.76 deg, I 154, hkl 1 0 2
50.91 deg, I 199, hkl 1 1 0
58.06 deg, I 202, hkl 1 0 3
61.58 deg, I 225, hkl 1 1 2
62.05 deg, I 165, hkl 2 0 1
69.34 deg, I 40, hkl 2 0 2
75.02 deg, I 32, hkl 1 0 4

=====

Entry 7:
Diffraction record for Er. The X-ray diffraction stick pattern is computed, not measured: it uses a crystal structure in the Materials Project, relaxed with PBE and Cu Kα (weighted mean of Kα1 and Kα2).
No peak broadening, texture or thermal motion is included.

```
data_Er
_chemical_formula_sum 'Er2'
_symmetry_space_group_name_H-M 'I m -3 m'
_symmetry_Int_Tables_number 229
_symmetry_space_group_name_Hall '-I 4 2 3'
_cell_length_a 3.962
_cell_length_b 3.962
_cell_length_c 3.962
_cell_angle_alpha 90.00
_cell_angle_beta 90.00
_cell_angle_gamma 90.00
loop_
_atom_site_label
_atom_site_type_symbol
_atom_site_fract_x
_atom_site_fract_y
_atom_site_fract_z
Er1 Er 0.000 0.000 0.000
```

Principal peaks in the range 2θ = 10–80°, low angle first:
31.94 deg, I 1000, hkl 1 1 0
45.80 deg, I 186, hkl 2 0 0
56.92 deg, I 391, hkl 2 1 1
66.78 deg, I 121, hkl 2 2 0
75.94 deg, I 168, hkl 3 1 0

=====

Entry 8:
Diffraction record for Eu3Er. The X-ray diffraction stick pattern is computed, not measured: it uses a crystal structure in the Materials Project, relaxed with PBE and Cu Kα (weighted mean of Kα1 and Kα2).
No peak broadening, texture or thermal motion is included.

```
data_Eu3Er
_chemical_formula_sum 'Eu6 Er2'
_symmetry_space_group_name_H-M 'P 63/m m c'
_symmetry_Int_Tables_number 194
_symmetry_space_group_name_Hall '-P 6c 2c'
_cell_length_a 7.6558
_cell_length_b 7.6558
_cell_length_c 6.1587
_cell_angle_alpha 90.00
_cell_angle_beta 90.00
_cell_angle_gamma 120.00
loop_
_atom_site_label
_atom_site_type_symbol
_atom_site_fract_x
_atom_site_fract_y
_atom_site_fract_z
Eu1 Eu 0.1699 0.3398 0.2500
Er1 Er 0.3333 0.6667 0.7500
```

Principal peaks in the range 2θ = 10–80°, low angle first:
26.89 deg, I 232, hkl 2 0 0
29.00 deg, I 256, hkl 0 0 2
30.63 deg, I 1000, hkl 2 0 1
39.96 deg, I 163, hkl 2 0 2
47.51 deg, I 197, hkl 2 2 0
52.42 deg, I 222, hkl 2 0 3
56.62 deg, I 233, hkl 2 2 2
57.59 deg, I 166, hkl 4 0 1
77.79 deg, I 138, hkl 4 2 1
79.97 deg, I 87, hkl 2 2 4